(1)
Structure and theoretical powder diffraction line list of TmMn6GaGe5 (a GGA-PBE-relaxed structure; Cu Kα (λ = 1.5418 Å)).
No peak broadening, texture or thermal motion is included.

Atomic structure:
Lattice parameters (Å, degrees): 5.188 5.188 8.118 90.00 90.00 120.00
Fractional coordinates of all 13 atoms:
Tm: 0.000 0.000 0.000
Mn: 0.000 0.500 0.253
Mn: 0.000 0.500 0.755
Mn: 0.500 0.000 0.253
Mn: 0.500 0.000 0.755
Mn: 0.500 0.500 0.253
Mn: 0.500 0.500 0.755
Ga: 0.000 0.000 0.654
Ge: 0.000 0.000 0.345
Ge: 0.333 0.667 0.003
Ge: 0.333 0.667 0.505
Ge: 0.667 0.333 0.003
Ge: 0.667 0.333 0.505

Principal peaks in the range 10° ≤ 2θ ≤ 90°, sorted by position:
- (1 1 0), 34.58°, rel. 76
- (1 0 3), 38.85°, rel. 42
- (2 0 0), 40.14°, rel. 49
- (1 1 2), 41.31°, rel. 100
- (0 0 4), 44.65°, rel. 23
- (2 0 2), 46.19°, rel. 35
- (1 1 3), 48.62°, rel. 22
- (3 0 2), 66.56°, rel. 23
- (2 2 0), 72.96°, rel. 33
- (1 1 6), 79.98°, rel. 25

***

(2)
Structure and theoretical powder diffraction line list of Y3Mn3Ga2Ge (a GGA-PBE-relaxed structure; Cu Kα (λ = 1.5418 Å)).
No peak broadening, texture or thermal motion is included.

Atomic structure:
Lattice parameters (Å, degrees): 7.028 7.028 4.144 90.00 90.00 120.00
Fractional coordinates of all 9 atoms:
Y: 0.001 0.581 0.000
Y: 0.419 0.420 0.000
Y: 0.580 0.999 0.000
Mn: 0.004 0.233 0.500
Mn: 0.229 0.996 0.500
Mn: 0.767 0.771 0.500
Ga: 0.000 0.000 0.000
Ga: 0.667 0.333 0.500
Ge: 0.333 0.667 0.500

Principal peaks in the range 10° ≤ 2θ ≤ 90°, sorted by position:
- (1 1 1), 33.43°, rel. 77
- (2 0 1), 36.64°, rel. 100
- (2 1 0), 39.16°, rel. 39
- (0 0 2), 43.68°, rel. 29
- (3 0 0), 44.67°, rel. 19
- (2 1 1), 45.08°, rel. 23
- (3 1 1), 59.10°, rel. 19
- (2 1 2), 60.10°, rel. 20
- (3 0 2), 64.25°, rel. 13
- (3 2 1), 71.27°, rel. 19